Record 1
For Na2Mg3Tl3, a DFT-relaxed cell (PBE, Alexandria) gives the theoretical powder diffractogram in this record (CuKα).

Cell and atoms:
```
8
Lattice="8.479 0.000 0.000 -4.240 7.343 0.000 0.000 0.000 3.464" Properties=species:S:1:pos:R:3 pbc="T T T"
Na 0.000 4.895 0.000
Na 4.240 2.448 0.000
Mg -0.989 1.713 0.000
Mg 1.978 0.000 0.000
Mg 3.250 5.630 0.000
Tl -2.747 4.758 1.732
Tl 1.493 2.585 1.732
Tl 5.494 0.000 1.732
```

Principal peaks in the range 2θ = 10–90°, in order of rising 2θ:
20.95 deg, intensity 100.0
33.40 deg, intensity 92.0
36.72 deg, intensity 34.4
45.37 deg, intensity 25.6
57.49 deg, intensity 26.5
64.02 deg, intensity 23.6

***

Record 2
For Na3Bi2Pd2Pb4, a DFT-relaxed cell (PBE, Alexandria) gives the theoretical powder diffractogram in this record (CuKα).

Cell and atoms:
```
11
Lattice="5.323 0.000 0.000 -2.662 4.610 0.000 0.000 0.000 12.676" Properties=species:S:1:pos:R:3 pbc="T T T"
Na 0.000 0.000 0.000
Na 0.000 0.000 4.430
Na 0.000 0.000 8.246
Bi 0.000 3.073 1.567
Bi 2.662 1.537 11.108
Pd 0.000 3.073 7.469
Pd 2.662 1.537 5.207
Pb 0.000 3.073 4.759
Pb 0.000 3.073 10.259
Pb 2.662 1.537 2.417
Pb 2.662 1.537 7.917
```

Principal peaks in the range 2θ = 10–90°, in order of rising 2θ:
19.25 deg, intensity 70.9
28.16 deg, intensity 20.0
28.66 deg, intensity 37.4
33.67 deg, intensity 100.0
34.34 deg, intensity 37.7
44.45 deg, intensity 35.7

***

Record 3
For Ce3S5, a DFT-relaxed cell (PBE, Alexandria) gives the theoretical powder diffractogram in this record (CuKα).

Cell and atoms:
```
16
Lattice="3.331 -7.456 0.000 3.331 7.456 0.000 -1.955 0.000 7.406" Properties=species:S:1:pos:R:3 pbc="T T T"
Ce 3.331 5.170 0.000
Ce 2.353 3.842 3.703
Ce 1.426 0.000 5.234
Ce 3.280 0.000 2.172
Ce 2.353 -3.842 3.703
Ce 3.331 -5.170 0.000
S 0.839 1.601 2.808
S 0.570 2.820 5.911
S -0.327 0.000 7.323
S 0.839 -1.601 2.808
S 4.136 2.820 1.495
S 0.570 -2.820 5.911
S 3.867 1.601 4.598
S 5.033 0.000 0.082
S 4.136 -2.820 1.495
S 3.867 -1.601 4.598
```

Principal peaks in the range 2θ = 10–90°, in order of rising 2θ:
21.31 deg, intensity 42.2
22.60 deg, intensity 100.0
26.77 deg, intensity 41.4
26.88 deg, intensity 54.8
34.08 deg, intensity 99.8
41.17 deg, intensity 66.6

***

Record 4
For Pu2TlP2N6, a DFT-relaxed cell (PBE, Alexandria) gives the theoretical powder diffractogram in this record (CuKα).

Cell and atoms:
```
11
Lattice="5.754 -3.116 0.000 5.754 3.116 0.000 -3.354 0.000 5.367" Properties=species:S:1:pos:R:3 pbc="T T T"
Pu 0.985 0.000 1.635
Pu 7.169 0.000 3.733
Tl 5.754 0.000 0.000
P -0.710 0.000 4.037
P 8.863 0.000 1.331
N 2.324 1.807 1.776
N -2.162 0.000 4.658
N 5.830 1.807 3.591
N 2.324 -1.807 1.776
N 10.315 0.000 0.710
N 5.830 -1.807 3.591
```

Principal peaks in the range 2θ = 10–90°, in order of rising 2θ:
16.88 deg, intensity 100.0
26.92 deg, intensity 62.9
28.65 deg, intensity 41.5
31.01 deg, intensity 71.1
32.86 deg, intensity 51.9
33.43 deg, intensity 43.0

***

Record 5
For Dy4Ho2Mg, a DFT-relaxed cell (PBE, Alexandria) gives the theoretical powder diffractogram in this record (CuKα).

Cell and atoms:
```
7
Lattice="5.889 0.000 0.000 0.000 3.596 0.000 -1.713 0.000 10.537" Properties=species:S:1:pos:R:3 pbc="T T T"
Dy -0.002 0.000 2.115
Dy 1.212 1.798 7.911
Dy 2.964 1.798 2.625
Dy 4.178 0.000 8.422
Ho -0.857 1.798 5.268
Ho 2.088 0.000 5.268
Mg 2.944 0.000 0.000
```

Principal peaks in the range 2θ = 10–90°, in order of rising 2θ:
25.36 deg, intensity 38.6
29.73 deg, intensity 68.8
30.77 deg, intensity 45.2
32.59 deg, intensity 85.0
35.15 deg, intensity 100.0
36.84 deg, intensity 36.2

***

Record 6
For Ta11Cr5, a DFT-relaxed cell (PBE, Alexandria) gives the theoretical powder diffractogram in this record (CuKα).

Cell and atoms:
```
16
Lattice="6.379 0.000 0.000 0.000 6.367 0.000 -0.118 0.000 6.414" Properties=species:S:1:pos:R:3 pbc="T T T"
Ta 0.000 0.000 0.000
Ta -0.043 3.183 3.042
Ta 1.605 1.566 4.771
Ta 1.605 4.801 4.771
Ta 1.687 1.556 1.511
Ta 1.687 4.811 1.511
Ta 3.264 3.183 3.099
Ta 3.377 3.183 0.018
Ta 4.743 1.565 4.780
Ta 4.743 4.802 4.780
Ta 6.298 0.000 3.073
Cr -0.032 3.183 6.355
Cr 3.221 0.000 3.115
Cr 3.312 0.000 0.022
Cr 4.797 1.543 1.523
Cr 4.797 4.824 1.523
```

Principal peaks in the range 2θ = 10–90°, in order of rising 2θ:
19.70 deg, intensity 17.9
39.48 deg, intensity 51.3
39.90 deg, intensity 100.0
40.02 deg, intensity 98.9
40.25 deg, intensity 47.9
72.87 deg, intensity 32.2